For ZnNi3B4O10, a DFT-relaxed cell (GGA+U, Alexandria) gives the calculated XRD peak list in this record (a wavelength of 1.5418 Å).
Peak positions follow from Bragg's law for the DFT cell and can differ from measured ones.

Crystal structure
```
data_ZnNi3B4O10
_chemical_formula_sum 'Zn1 Ni3 B4 O10'
_symmetry_space_group_name_H-M 'P 1'
_symmetry_Int_Tables_number 1
_symmetry_space_group_name_Hall 'P 1'
_cell_length_a 3.1455
_cell_length_b 6.2271
_cell_length_c 9.2487
_cell_angle_alpha 104.47
_cell_angle_beta 90.92
_cell_angle_gamma 91.91
loop_
_atom_site_label
_atom_site_fract_x
_atom_site_fract_y
_atom_site_fract_z
Zn1 0.0000 0.0000 0.0000
Ni1 0.4500 0.4254 0.7086
Ni2 0.4750 0.8407 0.2561
Ni3 0.9577 0.5959 0.4614
B1 0.0199 0.5349 0.0007
B2 0.0544 0.0965 0.5266
B3 0.3746 0.3393 0.1930
B4 0.4249 0.8997 0.7147
O1 0.1568 0.3595 0.0603
O2 0.2826 0.0754 0.6569
O3 0.4549 0.5265 0.3079
O4 0.4655 0.6941 0.6181
O5 0.4761 0.1272 0.1858
O6 0.4999 0.9456 0.8634
O7 0.9494 0.3117 0.5396
O8 0.9565 0.4952 0.8515
O9 0.9708 0.7398 0.1002
O10 0.9731 0.9127 0.4114
```

Largest 10 diffraction maxima, most intense first, 2θ from 5° to 70°:
index, d/Å, I_rel
0 1 1, 4.503, 100
1 0 -2, 2.603, 86
1 0 2, 2.542, 50
0 3 -2, 2.032, 37
0 2 -2, 2.852, 33
-1 1 3, 1.963, 26
1 1 3, 1.895, 25
1 -3 4, 1.522, 23
1 2 0, 2.135, 22
0 1 -3, 2.988, 21